No. 1
Diffraction record for CsTaCu2S4. The X-ray diffraction stick pattern is calculated, not measured: it uses a crystal structure in Alexandria, relaxed with GGA-PBE and Cu Kα (λ = 1.5418 Å).
No peak broadening, texture or thermal motion is included.

```
data_CsTaCu2S4
_chemical_formula_sum 'Cs2 Ta2 Cu4 S8'
_cell_length_a 6.440
_cell_length_b 6.440
_cell_length_c 9.261
_cell_angle_alpha 90.00
_cell_angle_beta 90.00
_cell_angle_gamma 90.00
_symmetry_space_group_name_H-M 'I -4 2 m'
_symmetry_Int_Tables_number 121
_symmetry_space_group_name_Hall 'I -4 2'
loop_
_atom_site_label
_atom_site_type_symbol
_atom_site_fract_x
_atom_site_fract_y
_atom_site_fract_z
Cs1 Cs 0.000 0.000 0.000
Ta1 Ta 0.000 0.000 0.500
Cu1 Cu 0.000 0.500 0.250
S1 S 0.193 0.193 0.662
```

Principal peaks in the range 2θ = 10–90°, low angle first:
index  2θ (°)  d [Å]  I/Imax
1 0 1  16.8  5.287  8.6
1 1 0  19.5  4.554  19.4
1 1 2  27.5  3.247  100.0
2 0 0  27.7  3.220  28.2
2 0 2  33.9  2.644  12.7
2 2 0  39.6  2.277  24.8
2 0 4  48.4  1.880  25.8
3 1 2  48.9  1.864  43.2
2 2 4  56.7  1.623  10.4
1 1 6  63.7  1.462  9.4
4 2 4  78.2  1.223  10.2
5 1 2  78.5  1.218  8.8

***

No. 2
Diffraction record for La2Pm7PrTl2. The X-ray diffraction stick pattern is calculated, not measured: it uses a crystal structure in Alexandria, relaxed with GGA-PBE and Cu Kα (λ = 1.5418 Å).
No peak broadening, texture or thermal motion is included.

```
data_La2Pm7PrTl2
_chemical_formula_sum 'La4 Pm14 Pr2 Tl4'
_cell_length_a 7.034
_cell_length_b 10.270
_cell_length_c 11.337
_cell_angle_alpha 90.00
_cell_angle_beta 90.00
_cell_angle_gamma 90.00
_symmetry_space_group_name_H-M 'C m m m'
_symmetry_Int_Tables_number 65
_symmetry_space_group_name_Hall '-C 2 2'
loop_
_atom_site_label
_atom_site_type_symbol
_atom_site_fract_x
_atom_site_fract_y
_atom_site_fract_z
La1 La 0.000 0.000 0.149
Pm1 Pm 0.000 0.000 0.500
Pm2 Pm 0.000 0.311 0.000
Pm3 Pm 0.250 0.250 0.329
Pr1 Pr 0.000 0.500 0.500
Tl1 Tl 0.000 0.500 0.221
```

Principal peaks in the range 2θ = 10–90°, low angle first:
index  2θ (°)  d [Å]  I/Imax
2 0 1  26.5  3.359  14.5
0 2 3  29.3  3.044  100.0
2 2 0  30.8  2.902  65.5
2 2 1  31.8  2.811  20.2
1 3 2  33.1  2.705  19.4
2 2 2  34.7  2.583  26.1
0 4 0  34.9  2.571  60.8
1 1 4  35.2  2.547  20.4
2 4 3  50.2  1.818  33.2
4 0 0  52.0  1.758  14.4
2 6 0  60.1  1.539  16.7
4 2 3  60.8  1.522  29.7

***

No. 3
Diffraction record for GaSiHSN. The X-ray diffraction stick pattern is calculated, not measured: it uses a crystal structure in Alexandria, relaxed with GGA-PBE and Cu Kα (λ = 1.5418 Å).
No peak broadening, texture or thermal motion is included.

```
data_GaSiHSN
_chemical_formula_sum 'Ga1 Si1 H1 S1 N1'
_cell_length_a 3.049
_cell_length_b 3.253
_cell_length_c 8.136
_cell_angle_alpha 89.48
_cell_angle_beta 89.92
_cell_angle_gamma 89.93
_symmetry_space_group_name_H-M 'P 1'
_symmetry_Int_Tables_number 1
_symmetry_space_group_name_Hall 'P 1'
loop_
_atom_site_label
_atom_site_type_symbol
_atom_site_fract_x
_atom_site_fract_y
_atom_site_fract_z
Ga1 Ga 0.000 0.000 0.000
Si1 Si 0.005 0.447 0.507
H1 H 0.504 0.522 0.737
S1 S 0.006 0.956 0.334
N1 N 0.505 0.434 0.616
```

Principal peaks in the range 2θ = 10–90°, low angle first:
index  2θ (°)  d [Å]  I/Imax
0 0 2  21.8  4.068  100.0
0 1 0  27.4  3.253  30.6
1 0 0  29.3  3.049  92.1
0 1 1  29.5  3.030  76.6
0 1 -1  29.7  3.011  56.3
1 0 -1  31.3  2.855  31.5
0 0 3  33.0  2.712  35.3
1 0 2  36.8  2.440  60.9
1 1 0  40.6  2.225  43.0
-1 1 1  42.0  2.149  32.1
0 1 3  43.2  2.092  36.2
0 1 -3  43.6  2.074  30.9

***

No. 4
Diffraction record for Tb6PmPr2Sm3. The X-ray diffraction stick pattern is calculated, not measured: it uses a crystal structure in Alexandria, relaxed with GGA-PBE and Cu Kα (λ = 1.5418 Å).
No peak broadening, texture or thermal motion is included.

```
data_Tb6PmPr2Sm3
_chemical_formula_sum 'Tb12 Pm2 Pr4 Sm6'
_cell_length_a 6.265
_cell_length_b 10.849
_cell_length_c 11.914
_cell_angle_alpha 90.00
_cell_angle_beta 100.07
_cell_angle_gamma 90.00
_symmetry_space_group_name_H-M 'C 1 2/m 1'
_symmetry_Int_Tables_number 12
_symmetry_space_group_name_Hall '-C 2y'
loop_
_atom_site_label
_atom_site_type_symbol
_atom_site_fract_x
_atom_site_fract_y
_atom_site_fract_z
Tb1 Tb 0.249 0.000 0.248
Tb2 Tb 0.250 0.167 0.752
Pm1 Pm 0.000 0.000 0.500
Pr1 Pr 0.000 0.333 0.500
Sm1 Sm 0.000 0.167 0.000
Sm2 Sm 0.000 0.500 0.000
```

Principal peaks in the range 2θ = 10–90°, low angle first:
index  2θ (°)  d [Å]  I/Imax
1 3 1  30.3  2.951  100.0
0 0 4  30.5  2.933  32.8
2 0 2  35.2  2.551  67.3
0 6 0  50.5  1.808  24.2
1 3 5  50.7  1.800  23.8
4 0 0  60.0  1.542  14.4
3 3 3  60.1  1.539  28.6
2 0 6  60.3  1.534  14.1
2 6 2  63.0  1.475  12.4
4 6 0  82.2  1.173  11.8
5 3 1  84.8  1.143  11.0
3 3 7  85.2  1.139  10.9